No. 1
Computed powder diffractogram
Compound: NaCa6Mg
Radiation: Cu Kα (λ = 1.5418 Å)
Structure: a cell relaxed with PBE

Structural model:
a b c (Å): 10.597 10.597 10.597
angles (deg): 149.42 149.42 43.80
Positions (direct):
Na (0.000, 0.000, 0.000)
Ca (0.111, 0.611, 0.500)
Ca (0.251, 0.251, 0.000)
Ca (0.389, 0.889, 0.500)
Ca (0.611, 0.111, 0.500)
Ca (0.749, 0.749, 0.000)
Ca (0.889, 0.389, 0.500)
Mg (0.500, 0.500, 0.000)

Peak list (10 most intense, 5° ≤ 2θ ≤ 70°, by angle)
2θ (°)	intensity
24.3	76
29.0	1000
32.0	405
36.6	105
42.5	51
45.9	137
49.4	165
55.2	281
60.1	87
61.2	57

=====

No. 2
Computed powder diffractogram
Compound: NaCa6Mg
Radiation: Cu Kα (λ = 1.5418 Å)
Structure: a cell relaxed with PBE

Structural model:
a b c (Å): 6.768 6.779 6.780
angles (deg): 89.91 89.97 89.94
Positions (direct):
Na (0.000, 0.000, 0.000)
Ca (0.001, 0.500, 0.746)
Ca (0.253, 0.000, 0.500)
Ca (0.500, 0.254, 0.000)
Ca (0.500, 0.746, 0.000)
Ca (0.747, 0.000, 0.500)
Ca (0.999, 0.500, 0.254)
Mg (0.500, 0.500, 0.500)

Peak list (10 most intense, 5° ≤ 2θ ≤ 70°, by angle)
2θ (°)	intensity
18.5	72
26.3	215
29.5	1000
32.4	488
46.4	122
48.4	186
50.4	189
54.1	84
62.8	118
62.9	70

=====

No. 3
Computed powder diffractogram
Compound: Na2Ca2Mg
Radiation: Cu Kα (λ = 1.5418 Å)
Structure: a cell relaxed with PBE

Structural model:
a b c (Å): 10.569 10.569 10.569
angles (deg): 156.97 156.97 32.80
Positions (direct):
Na (0.250, 0.750, 0.500)
Na (0.750, 0.250, 0.500)
Ca (0.092, 0.092, 0.000)
Ca (0.908, 0.908, 0.000)
Mg (0.500, 0.500, 0.000)

Peak list (10 most intense, 5° ≤ 2θ ≤ 70°, by angle)
2θ (°)	intensity
21.5	456
24.9	226
26.4	348
30.6	1000
31.2	973
34.9	379
37.7	299
42.9	410
53.6	363
54.7	322